The following is a computed PXRD pattern of LaSi2Ag2. It was derived from a DFT-relaxed cell (PBE, the Materials Project), using Cu Kα, 1.54184 Å.
Neutral-atom scattering factors, no anomalous dispersion.

Cell and atoms:
a = 6.170 Å, b = 6.170 Å, c = 6.170 Å
α = 139.01°, β = 139.01°, γ = 59.37°
Fractional coordinates of all 5 atoms:
La (0.000, 0.000, 0.000)
Si (0.390, 0.390, 0.000)
Si (0.610, 0.610, 0.000)
Ag (0.250, 0.750, 0.500)
Ag (0.750, 0.250, 0.500)

Peak list (12 most intense, 2θ = 15–90°, in order of rising 2θ)
d (Å)	2θ/deg	I/Imax
4.007	22.2	169
2.754	32.5	214
2.680	33.4	176
2.654	33.8	1000
2.160	41.8	344
1.921	47.3	100
1.700	53.9	100
1.682	54.6	168
1.542	60.0	143
1.528	60.6	111
1.324	71.2	215
1.139	85.2	79

The following is a computed PXRD pattern of LaAgSn. It was derived from a DFT-relaxed cell (PBE, the Materials Project), using Cu Kα, 1.54184 Å.
Neutral-atom scattering factors, no anomalous dispersion.

Cell and atoms:
a = 4.911 Å, b = 4.911 Å, c = 8.124 Å
α = 90.00°, β = 90.00°, γ = 120.00°
Fractional coordinates of all 6 atoms:
La (0.000, 0.000, 0.238)
La (0.000, 0.000, 0.762)
Ag (0.333, 0.667, 0.007)
Ag (0.667, 0.333, 0.993)
Sn (0.333, 0.667, 0.460)
Sn (0.667, 0.333, 0.540)

Peak list (12 most intense, 2θ = 15–90°, in order of rising 2θ)
d (Å)	2θ/deg	I/Imax
2.937	30.4	1000
2.455	36.6	683
2.284	39.4	75
2.031	44.6	88
1.884	48.3	276
1.565	59.0	226
1.495	62.1	259
1.418	65.9	121
1.291	73.4	70
1.228	77.8	76
1.162	83.1	86
1.133	85.8	108

The following is a computed PXRD pattern of LaTlAg2. It was derived from a DFT-relaxed cell (PBE, the Materials Project), using Cu Kα, 1.54184 Å.
Neutral-atom scattering factors, no anomalous dispersion.

Cell and atoms:
a = 5.175 Å, b = 5.175 Å, c = 5.175 Å
α = 60.00°, β = 60.00°, γ = 60.00°
Fractional coordinates of all 4 atoms:
La (0.000, 0.000, 0.000)
Tl (0.500, 0.500, 0.500)
Ag (0.250, 0.250, 0.250)
Ag (0.750, 0.750, 0.750)

Peak list (12 most intense, 2θ = 15–90°, in order of rising 2θ)
d (Å)	2θ/deg	I/Imax
4.226	21.0	27
3.660	24.3	46
2.588	34.7	1000
2.207	40.9	16
2.113	42.8	15
1.830	49.8	177
1.679	54.7	7
1.637	56.2	23
1.494	62.1	360
1.294	73.1	111
1.220	78.4	12
1.157	83.5	158

The following is a computed PXRD pattern of La2TlAg. It was derived from a DFT-relaxed cell (PBE, the Materials Project), using Cu Kα, 1.54184 Å.
Neutral-atom scattering factors, no anomalous dispersion.

Cell and atoms:
a = 5.555 Å, b = 5.555 Å, c = 5.555 Å
α = 60.00°, β = 60.00°, γ = 60.00°
Fractional coordinates of all 4 atoms:
La (0.250, 0.250, 0.250)
La (0.750, 0.750, 0.750)
Tl (0.000, 0.000, 0.000)
Ag (0.500, 0.500, 0.500)

Peak list (12 most intense, 2θ = 15–90°, in order of rising 2θ)
d (Å)	2θ/deg	I/Imax
4.536	19.6	47
2.778	32.2	1000
2.369	38.0	28
1.964	46.2	183
1.802	50.6	14
1.604	57.5	382
1.512	61.3	11
1.389	67.4	118
1.328	71.0	11
1.242	76.7	163
1.134	85.7	42
1.100	89.0	6

The following is a computed PXRD pattern of Li9Ag4. It was derived from a DFT-relaxed cell (PBE, the Materials Project), using Cu Kα, 1.54184 Å.
Neutral-atom scattering factors, no anomalous dispersion.

Cell and atoms:
a = 8.393 Å, b = 8.335 Å, c = 9.660 Å
α = 55.01°, β = 54.44°, γ = 70.55°
Fractional coordinates of all 26 atoms:
Li (0.110, 0.349, 0.890)
Li (0.110, 0.890, 0.110)
Li (0.120, 0.451, 0.549)
Li (0.122, 0.488, 0.220)
Li (0.123, 0.753, 0.600)
Li (0.349, 0.110, 0.651)
Li (0.400, 0.475, 0.877)
Li (0.407, 0.772, 0.228)
Li (0.451, 0.120, 0.880)
Li (0.468, 0.838, 0.532)
Li (0.475, 0.400, 0.247)
Li (0.488, 0.122, 0.170)
Li (0.753, 0.123, 0.525)
Li (0.772, 0.407, 0.593)
Li (0.780, 0.830, 0.878)
Li (0.830, 0.780, 0.512)
Li (0.838, 0.468, 0.162)
Li (0.890, 0.110, 0.890)
Ag (0.115, 0.129, 0.527)
Ag (0.120, 0.777, 0.880)
Ag (0.129, 0.115, 0.230)
Ag (0.464, 0.464, 0.536)
Ag (0.473, 0.770, 0.885)
Ag (0.760, 0.760, 0.240)
Ag (0.770, 0.473, 0.871)
Ag (0.777, 0.120, 0.223)

Peak list (12 most intense, 2θ = 15–90°, in order of rising 2θ)
d (Å)	2θ/deg	I/Imax
4.828	18.4	341
3.952	22.5	816
3.930	22.6	962
3.056	29.2	174
3.049	29.3	126
2.289	39.4	192
2.280	39.5	550
2.275	39.6	1000
2.265	39.8	203
1.965	46.2	165
1.610	57.2	169
1.319	71.5	111

The following is a computed PXRD pattern of LiAg4P4O12. It was derived from a DFT-relaxed cell (PBE, the Materials Project), using Cu Kα, 1.54184 Å.
Neutral-atom scattering factors, no anomalous dispersion.

Cell and atoms:
a = 4.255 Å, b = 5.783 Å, c = 13.331 Å
α = 79.38°, β = 88.98°, γ = 87.64°
Fractional coordinates of all 21 atoms:
Li (0.000, 0.000, 0.000)
Ag (0.435, 0.808, 0.210)
Ag (0.591, 0.849, 0.645)
Ag (0.897, 0.226, 0.731)
Ag (0.925, 0.121, 0.236)
P (0.039, 0.704, 0.860)
P (0.396, 0.355, 0.537)
P (0.538, 0.477, 0.997)
P (0.890, 0.543, 0.394)
O (0.053, 0.448, 0.308)
O (0.134, 0.547, 0.486)
O (0.154, 0.951, 0.857)
O (0.252, 0.116, 0.565)
O (0.304, 0.504, 0.899)
O (0.368, 0.558, 0.084)
O (0.538, 0.453, 0.623)
O (0.650, 0.341, 0.447)
O (0.692, 0.238, 0.004)
O (0.723, 0.780, 0.375)
O (0.788, 0.682, 0.954)
O (0.909, 0.639, 0.766)

Peak list (12 most intense, 2θ = 15–90°, in order of rising 2θ)
d (Å)	2θ/deg	I/Imax
4.745	18.7	783
3.948	22.5	675
3.549	25.1	858
3.342	26.7	535
3.231	27.6	623
3.105	28.7	530
3.031	29.5	576
2.864	31.2	1000
2.799	32.0	595
2.636	34.0	441
2.539	35.4	749
2.405	37.4	551

The following is a computed PXRD pattern of LiAg4P4O12. It was derived from a DFT-relaxed cell (PBE, the Materials Project), using Cu Kα, 1.54184 Å.
Neutral-atom scattering factors, no anomalous dispersion.

Cell and atoms:
a = 4.282 Å, b = 5.771 Å, c = 13.683 Å
α = 100.74°, β = 92.65°, γ = 90.53°
Fractional coordinates of all 21 atoms:
Li (0.000, 0.000, 0.000)
Ag (0.113, 0.502, 0.188)
Ag (0.197, 0.970, 0.684)
Ag (0.613, 0.210, 0.220)
Ag (0.885, 0.505, 0.600)
P (0.148, 0.020, 0.360)
P (0.363, 0.585, 0.810)
P (0.678, 0.912, 0.492)
P (0.874, 0.531, 0.953)
O (0.010, 0.313, 0.981)
O (0.126, 0.674, 0.898)
O (0.203, 0.408, 0.728)
O (0.284, 0.882, 0.267)
O (0.414, 0.070, 0.450)
O (0.510, 0.806, 0.787)
O (0.540, 0.687, 0.513)
O (0.614, 0.439, 0.864)
O (0.760, 0.728, 0.030)
O (0.842, 0.081, 0.578)
O (0.907, 0.843, 0.400)
O (0.998, 0.252, 0.356)

Peak list (12 most intense, 2θ = 15–90°, in order of rising 2θ)
d (Å)	2θ/deg	I/Imax
4.905	18.1	793
4.476	19.8	308
3.884	22.9	297
3.689	24.1	505
3.444	25.9	274
3.402	26.2	418
3.229	27.6	597
3.169	28.2	1000
2.834	31.6	948
2.705	33.1	272
2.347	38.4	677
2.227	40.5	315

The following is a computed PXRD pattern of LiY4Ag4O12. It was derived from a DFT-relaxed cell (PBE, the Materials Project), using Cu Kα, 1.54184 Å.
Neutral-atom scattering factors, no anomalous dispersion.

Cell and atoms:
a = 6.177 Å, b = 6.965 Å, c = 7.209 Å
α = 90.00°, β = 107.32°, γ = 90.00°
Fractional coordinates of all 21 atoms:
Li (0.000, 0.000, 0.000)
Y (0.163, 0.000, 0.649)
Y (0.230, 0.500, 0.901)
Y (0.629, 0.000, 0.232)
Y (0.760, 0.500, 0.339)
Ag (0.206, 0.260, 0.295)
Ag (0.206, 0.740, 0.295)
Ag (0.698, 0.252, 0.780)
Ag (0.698, 0.748, 0.780)
O (0.025, 0.500, 0.161)
O (0.037, 0.207, 0.851)
O (0.037, 0.793, 0.851)
O (0.362, 0.286, 0.715)
O (0.362, 0.714, 0.715)
O (0.368, 0.000, 0.405)
O (0.471, 0.302, 0.170)
O (0.471, 0.698, 0.170)
O (0.668, 0.000, 0.927)
O (0.769, 0.500, 0.655)
O (0.922, 0.198, 0.395)
O (0.922, 0.802, 0.395)

Peak list (12 most intense, 2θ = 15–90°, in order of rising 2θ)
d (Å)	2θ/deg	I/Imax
3.442	25.9	739
3.427	26.0	334
3.088	28.9	143
2.949	30.3	462
2.915	30.7	1000
2.665	33.6	356
2.608	34.4	653
2.448	36.7	172
1.972	46.0	188
1.772	51.6	355
1.741	52.6	189
1.499	61.9	146

The following is a computed PXRD pattern of LiAg2Pd. It was derived from a DFT-relaxed cell (PBE, the Materials Project), using Cu Kα, 1.54184 Å.
Neutral-atom scattering factors, no anomalous dispersion.

Cell and atoms:
a = 4.538 Å, b = 4.538 Å, c = 4.538 Å
α = 60.00°, β = 60.00°, γ = 60.00°
Fractional coordinates of all 4 atoms:
Li (0.000, 0.000, 0.000)
Ag (0.250, 0.250, 0.250)
Ag (0.750, 0.750, 0.750)
Pd (0.500, 0.500, 0.500)

Peak list (11 most intense, 2θ = 15–90°, in order of rising 2θ)
d (Å)	2θ/deg	I/Imax
3.705	24.0	237
3.209	27.8	144
2.269	39.7	1000
1.935	47.0	114
1.853	49.2	37
1.604	57.4	163
1.472	63.2	46
1.435	65.0	45
1.310	72.1	322
1.235	77.2	34
1.134	85.6	103

The following is a computed PXRD pattern of Li2AgSb. It was derived from a DFT-relaxed cell (PBE, the Materials Project), using Cu Kα, 1.54184 Å.
Neutral-atom scattering factors, no anomalous dispersion.

Cell and atoms:
a = 4.710 Å, b = 4.710 Å, c = 4.710 Å
α = 60.00°, β = 60.00°, γ = 60.00°
Fractional coordinates of all 4 atoms:
Li (0.000, 0.000, 0.000)
Li (0.250, 0.250, 0.250)
Ag (0.500, 0.500, 0.500)
Sb (0.750, 0.750, 0.750)

Peak list (9 most intense, 2θ = 15–90°, in order of rising 2θ)
d (Å)	2θ/deg	I/Imax
3.846	23.1	1000
2.355	38.2	959
2.008	45.1	496
1.665	55.2	160
1.528	60.6	199
1.360	69.1	318
1.282	73.9	146
1.177	81.8	100
1.126	86.4	150

The following is a computed PXRD pattern of Li17Ag3Sn6. It was derived from a DFT-relaxed cell (PBE, the Materials Project), using Cu Kα, 1.54184 Å.
Neutral-atom scattering factors, no anomalous dispersion.

Cell and atoms:
a = 8.073 Å, b = 8.073 Å, c = 8.529 Å
α = 90.00°, β = 90.00°, γ = 120.00°
Fractional coordinates of all 26 atoms:
Li (0.000, 0.000, 0.025)
Li (0.000, 0.299, 0.498)
Li (0.000, 0.310, 0.818)
Li (0.000, 0.648, 0.000)
Li (0.000, 0.655, 0.322)
Li (0.299, 0.000, 0.498)
Li (0.310, 0.000, 0.818)
Li (0.333, 0.667, 0.507)
Li (0.333, 0.667, 0.835)
Li (0.345, 0.345, 0.322)
Li (0.352, 0.352, 0.000)
Li (0.648, 0.000, 0.000)
Li (0.655, 0.000, 0.322)
Li (0.667, 0.333, 0.507)
Li (0.667, 0.333, 0.835)
Li (0.690, 0.690, 0.818)
Li (0.701, 0.701, 0.498)
Ag (0.000, 0.000, 0.673)
Ag (0.333, 0.667, 0.169)
Ag (0.667, 0.333, 0.169)
Sn (0.000, 0.315, 0.158)
Sn (0.000, 0.646, 0.664)
Sn (0.315, 0.000, 0.158)
Sn (0.354, 0.354, 0.664)
Sn (0.646, 0.000, 0.664)
Sn (0.685, 0.685, 0.158)

Peak list (12 most intense, 2θ = 15–90°, in order of rising 2θ)
d (Å)	2θ/deg	I/Imax
5.407	16.4	205
4.264	20.8	712
3.648	24.4	1000
3.235	27.6	206
2.330	38.6	527
2.324	38.7	396
2.045	44.3	571
1.964	46.2	171
1.573	58.7	334
1.502	61.8	141
1.345	70.0	202
1.138	85.3	139

The following is a computed PXRD pattern of Li2TlAg. It was derived from a DFT-relaxed cell (PBE, the Materials Project), using Cu Kα, 1.54184 Å.
Neutral-atom scattering factors, no anomalous dispersion.

Cell and atoms:
a = 4.756 Å, b = 4.756 Å, c = 4.756 Å
α = 60.00°, β = 60.00°, γ = 60.00°
Fractional coordinates of all 4 atoms:
Li (0.000, 0.000, 0.000)
Li (0.250, 0.250, 0.250)
Tl (0.750, 0.750, 0.750)
Ag (0.500, 0.500, 0.500)

Peak list (12 most intense, 2θ = 15–90°, in order of rising 2θ)
d (Å)	2θ/deg	I/Imax
3.884	22.9	1000
3.363	26.5	77
2.378	37.8	875
2.028	44.7	521
1.942	46.8	25
1.682	54.6	151
1.543	59.9	218
1.504	61.7	36
1.373	68.3	305
1.295	73.1	162
1.189	80.8	96
1.137	85.4	166

Question: Number 1 is which compound?
Answer: LaSi2Ag2